InHgW2: simulated powder X-ray diffraction pattern (Cu Kα), based on the GGA-PBE geometry in the Materials Project.
Neutral-atom scattering factors, no anomalous dispersion.

The 8 most intense peaks (2θ from 10° to 90°), low angle first:
| two_theta | I/Imax | (hkl) |
| --- | --- | --- |
| 23.27 | 3 | 1 1 1 |
| 38.45 | 100 | 2 2 0 |
| 45.43 | 2 | 3 1 1 |
| 55.51 | 17 | 4 0 0 |
| 61.00 | 1 | 3 3 1 |
| 69.55 | 35 | 4 2 2 |
| 82.39 | 11 | 4 4 0 |
| 87.07 | 1 | 5 3 1 |

Crystal structure
Cell: 6.621 6.621 6.621 Å, 90.00 90.00 90.00°
Space group Fm-3m (No. 225)
Unique sites:
In 0.000 0.000 0.000
Hg 0.000 0.000 0.500
W 0.250 0.250 0.250